Record 1
Simulated PXRD pattern
Compound: Hf4Fe3Ir
Radiation: copper Kα
Structure: a crystal structure in Alexandria, relaxed with PBE

Top 8 peaks for 2θ = 10–90°, by angle:
Position (°2θ)  intensity
28.2  12.2
40.0  100.0
40.2  24.8
40.4  24.0
58.3  16.3
72.9  16.9
73.2  16.3
86.3  10.9

Cell and atoms:
```
8
Lattice="3.2113 0.0000 0.0000 0.0000 4.4911 0.0000 0.0000 0.0000 8.9250" Properties=species:S:1:pos:R:3 pbc="T T T"
Hf 0.0000 0.0000 0.0000
Hf 0.0000 0.0000 4.4625
Hf 0.0000 2.2455 2.1521
Hf 0.0000 2.2455 6.7729
Fe 1.6057 0.0000 2.2319
Fe 1.6057 0.0000 6.6931
Fe 1.6057 2.2455 0.0000
Ir 1.6057 2.2455 4.4625
```

=====

Record 2
Simulated PXRD pattern
Compound: HfNbFeIr
Radiation: copper Kα
Structure: a crystal structure in Alexandria, relaxed with PBE

Top 8 peaks for 2θ = 10–90°, by angle:
Position (°2θ)  intensity
24.1  20.6
39.9  100.0
47.2  11.1
57.7  16.9
63.4  4.8
72.5  34.1
77.6  3.7
86.1  11.0

Cell and atoms:
```
4
Lattice="0.0000 3.1953 3.1953 3.1953 0.0000 3.1953 3.1953 3.1953 0.0000" Properties=species:S:1:pos:R:3 pbc="T T T"
Hf 0.0000 0.0000 0.0000
Nb 3.1953 3.1953 3.1953
Fe 4.7930 4.7930 4.7930
Ir 1.5977 1.5977 1.5977
```

=====

Record 3
Simulated PXRD pattern
Compound: La2Hf2Fe
Radiation: copper Kα
Structure: a crystal structure in Alexandria, relaxed with PBE

Top 8 peaks for 2θ = 10–90°, by angle:
Position (°2θ)  intensity
26.8  12.6
31.6  32.4
34.0  100.0
43.0  16.6
54.3  16.6
57.8  22.0
59.5  19.1
68.3  9.7

Cell and atoms:
```
10
Lattice="6.6577 0.0000 0.0000 0.0000 6.6577 0.0000 0.0000 0.0000 5.6714" Properties=species:S:1:pos:R:3 pbc="T T T"
La 1.1239 2.2050 0.0000
La 2.2050 5.5338 0.0000
La 4.4527 1.1239 0.0000
La 5.5338 4.4527 0.0000
Hf 1.0865 4.4154 2.8357
Hf 2.2423 1.0865 2.8357
Hf 4.4154 5.5712 2.8357
Hf 5.5712 2.2423 2.8357
Fe 0.0000 0.0000 2.8357
Fe 3.3288 3.3288 2.8357
```

=====

Record 4
Simulated PXRD pattern
Compound: LaHf2FeN4
Radiation: copper Kα
Structure: a crystal structure in Alexandria, relaxed with PBE

Top 8 peaks for 2θ = 10–90°, by angle:
Position (°2θ)  intensity
28.9  91.2
32.2  84.1
32.8  100.0
37.6  53.7
40.2  75.9
50.3  31.7
55.8  52.1
66.4  21.4

Cell and atoms:
```
16
Lattice="1.6325 -5.5554 0.0000 1.6325 5.5554 0.0000 0.0000 0.0000 11.1324" Properties=species:S:1:pos:R:3 pbc="T T T"
La 1.6325 4.4299 8.3493
La 1.6325 -4.4299 2.7831
Hf 1.6325 1.4802 6.1348
Hf 1.6325 1.4802 10.5638
Hf 1.6325 -1.4802 0.5686
Hf 1.6325 -1.4802 4.9976
Fe 1.6325 3.7568 2.7831
Fe 1.6325 -3.7568 8.3493
N 0.0000 0.0000 0.0000
N 0.0000 0.0000 5.5662
N 1.6325 2.6208 1.2269
N 1.6325 2.6208 4.3393
N 1.6325 0.7630 8.3493
N 1.6325 -0.7630 2.7831
N 1.6325 -2.6208 6.7931
N 1.6325 -2.6208 9.9055
```

=====

Record 5
Simulated PXRD pattern
Compound: HfMg2Fe
Radiation: copper Kα
Structure: a crystal structure in Alexandria, relaxed with PBE

Top 8 peaks for 2θ = 10–90°, by angle:
Position (°2θ)  intensity
17.2  79.9
23.9  27.6
26.8  23.4
34.6  100.0
34.8  35.0
42.8  55.2
51.3  45.3
56.2  24.3

Cell and atoms:
```
8
Lattice="-1.8958 1.8958 10.3236 1.8958 -1.8958 10.3236 1.8958 1.8958 -10.3236" Properties=species:S:1:pos:R:3 pbc="T T T"
Hf 0.0000 0.0000 0.0000
Hf 0.0000 1.8958 5.1618
Mg 0.9479 -0.8923 7.7427
Mg 1.0035 0.9479 2.5809
Mg 0.9479 2.7882 -2.5809
Mg 0.8923 0.9479 12.9046
Fe 1.8958 0.0000 5.1618
Fe 0.0000 0.0000 10.3236
```

=====

Record 6
Simulated PXRD pattern
Compound: Hf3Mn2Fe
Radiation: copper Kα
Structure: a crystal structure in Alexandria, relaxed with PBE

Top 7 peaks for 2θ = 10–90°, by angle:
Position (°2θ)  intensity
28.3  33.0
40.5  100.0
50.1  9.8
58.6  16.6
66.3  13.3
73.6  33.4
87.5  10.9

Cell and atoms:
```
6
Lattice="2.2295 -6.6875 0.0000 2.2295 6.6875 0.0000 0.0000 0.0000 3.1534" Properties=species:S:1:pos:R:3 pbc="T T T"
Hf 0.0000 0.0000 0.0000
Hf 2.2295 2.2219 0.0000
Hf 2.2295 -2.2219 0.0000
Mn 2.2295 4.4473 1.5767
Mn 2.2295 -4.4473 1.5767
Fe 2.2295 0.0000 1.5767
```

=====

Record 7
Simulated PXRD pattern
Compound: Hf9FeMo4
Radiation: copper Kα
Structure: a crystal structure in Alexandria, relaxed with PBE

Top 8 peaks for 2θ = 10–90°, by angle:
Position (°2θ)  intensity
31.9  37.1
34.0  36.5
37.5  76.5
38.2  100.0
40.0  48.6
63.3  37.8
66.1  26.5
66.8  31.5

Cell and atoms:
```
28
Lattice="8.6645 0.0000 0.0000 -4.3323 7.5037 0.0000 0.0000 0.0000 8.4520" Properties=species:S:1:pos:R:3 pbc="T T T"
Hf -1.6276 4.0628 2.1130
Hf 0.0000 3.0373 4.7213
Hf 0.0000 3.0373 7.9566
Hf -1.7019 5.9851 4.7213
Hf -1.7019 5.9851 7.9566
Hf 2.6303 1.5186 0.4954
Hf 2.6303 1.5186 3.7306
Hf 1.6276 4.0628 2.1130
Hf 0.0000 6.8819 2.1130
Hf 4.3323 0.6218 6.3390
Hf 2.7047 3.4409 6.3390
Hf 1.7019 5.9851 4.7213
Hf 1.7019 5.9851 7.9566
Hf 6.0342 1.5186 0.4954
Hf 6.0342 1.5186 3.7306
Hf 4.3323 4.4664 0.4954
Hf 4.3323 4.4664 3.7306
Hf 5.9599 3.4409 6.3390
Fe 0.0000 5.0025 6.3390
Fe 4.3323 2.5012 2.1130
Mo 0.0000 0.0000 0.0000
Mo 0.0000 0.0000 4.2260
Mo 0.0000 1.6851 2.1130
Mo -2.8729 6.6611 2.1130
Mo 1.4594 0.8426 6.3390
Mo 2.8729 6.6611 2.1130
Mo 7.2052 0.8426 6.3390
Mo 4.3323 5.8186 6.3390
```

=====

Record 8
Simulated PXRD pattern
Compound: Hf7Fe2N2
Radiation: copper Kα
Structure: a crystal structure in Alexandria, relaxed with PBE

Top 8 peaks for 2θ = 10–90°, by angle:
Position (°2θ)  intensity
31.4  54.4
33.5  40.8
33.6  43.3
35.6  32.1
36.4  29.8
36.6  100.0
38.5  22.5
41.0  29.1

Cell and atoms:
```
11
Lattice="5.9933 0.0000 0.0000 2.7337 5.3826 0.0000 0.7234 2.1423 5.6927" Properties=species:S:1:pos:R:3 pbc="T T T"
Hf 0.0000 0.0000 0.0000
Hf 1.7434 2.8146 1.4801
Hf 4.6788 4.5128 4.2676
Hf 3.4221 1.8579 4.2138
Hf 6.0282 5.6670 1.4789
Hf 4.7715 3.0121 1.4251
Hf 7.7068 4.7103 4.2126
Fe 3.4216 5.3855 2.4117
Fe 6.0287 2.1393 3.2810
N 2.8281 3.4442 5.5974
N 6.6222 4.0807 0.0953
```

=====

Record 9
Simulated PXRD pattern
Compound: Hf2FeSiN
Radiation: copper Kα
Structure: a crystal structure in Alexandria, relaxed with PBE

Top 8 peaks for 2θ = 10–90°, by angle:
Position (°2θ)  intensity
30.0  63.9
35.1  100.0
36.2  55.0
40.3  28.9
52.1  35.1
55.2  23.2
64.3  35.7
67.8  24.3

Cell and atoms:
```
10
Lattice="3.5137 0.0000 0.0000 0.0000 3.5137 0.0000 0.0000 0.0000 11.1954" Properties=species:S:1:pos:R:3 pbc="T T T"
Hf 0.8784 0.8784 1.1089
Hf 0.8784 0.8784 8.0055
Hf 2.6353 2.6353 3.1899
Hf 2.6353 2.6353 10.0865
Fe 0.8784 2.6353 5.5977
Fe 2.6353 0.8784 5.5977
Si 0.8784 0.8784 3.9946
Si 2.6353 2.6353 7.2008
N 0.8784 0.8784 10.1651
N 2.6353 2.6353 1.0303
```

=====

Record 10
Simulated PXRD pattern
Compound: HfNb2Fe9
Radiation: copper Kα
Structure: a crystal structure in Alexandria, relaxed with PBE

Top 8 peaks for 2θ = 10–90°, by angle:
Position (°2θ)  intensity
34.3  36.6
37.4  65.6
43.5  31.5
44.1  100.0
46.3  15.2
67.3  15.2
72.0  19.1
79.6  16.7

Cell and atoms:
```
12
Lattice="2.4092 1.3909 7.8448 -2.4092 1.3909 7.8448 0.0000 -2.7819 7.8448" Properties=species:S:1:pos:R:3 pbc="T T T"
Hf 0.0000 0.0000 0.0000
Nb 0.0000 0.0000 3.3274
Nb 0.0000 0.0000 20.2069
Fe -1.2190 -0.7038 9.8537
Fe 0.0000 0.0000 7.8461
Fe 0.0000 -1.4076 13.6806
Fe -1.2190 0.7038 13.6806
Fe 0.0000 0.0000 11.7672
Fe 1.2190 -0.7038 9.8537
Fe 0.0000 1.4076 9.8537
Fe 0.0000 0.0000 15.6882
Fe 1.2190 0.7038 13.6806
```

=====

Record 11
Simulated PXRD pattern
Compound: Hf4FeNi
Radiation: copper Kα
Structure: a crystal structure in Alexandria, relaxed with PBE

Top 8 peaks for 2θ = 10–90°, by angle:
Position (°2θ)  intensity
32.4  21.3
35.9  100.0
43.6  32.6
45.7  19.0
60.0  22.8
63.4  26.9
72.5  16.3
82.1  15.5

Cell and atoms:
```
6
Lattice="-3.1382 3.1382 2.7656 3.1382 -3.1382 2.7656 3.1382 3.1382 -2.7656" Properties=species:S:1:pos:R:3 pbc="T T T"
Hf 2.0396 -1.0986 1.3828
Hf 4.2367 1.0986 1.3828
Hf 1.0986 2.0396 1.3828
Hf -1.0986 4.2367 1.3828
Fe 0.0000 0.0000 2.7656
Ni 0.0000 0.0000 0.0000
```

=====

Record 12
Simulated PXRD pattern
Compound: Hf4Fe3Ni
Radiation: copper Kα
Structure: a crystal structure in Alexandria, relaxed with PBE

Top 8 peaks for 2θ = 10–90°, by angle:
Position (°2θ)  intensity
28.2  30.8
28.7  14.8
40.3  51.1
40.7  100.0
58.4  17.0
73.5  17.0
73.6  16.9
74.2  16.6

Cell and atoms:
```
8
Lattice="3.1144 0.0000 0.0000 0.0000 4.4758 0.0000 0.0000 0.0000 8.9344" Properties=species:S:1:pos:R:3 pbc="T T T"
Hf 0.0000 0.0000 0.0000
Hf 0.0000 0.0000 4.4672
Hf 0.0000 2.2379 2.2034
Hf 0.0000 2.2379 6.7310
Fe 1.5572 0.0000 2.2225
Fe 1.5572 0.0000 6.7119
Fe 1.5572 2.2379 0.0000
Ni 1.5572 2.2379 4.4672
```